The following is a simulated PXRD pattern of Tb5CoSb2. It was derived from the GGA-PBE geometry in the Materials Project, using Cu Kα, 1.54184 Å.
No peak broadening, texture or thermal motion is included.

Principal peaks in the range 5° ≤ 2θ ≤ 70°, in order of rising 2θ:
- hkl 2 2 1, 2θ = 27.37°, I 16
- hkl 4 0 1, 2θ = 31.28°, I 100
- hkl 3 0 2, 2θ = 31.48°, I 15
- hkl 3 2 1, 2θ = 31.96°, I 52
- hkl 0 3 1, 2θ = 32.52°, I 8
- hkl 2 2 2, 2θ = 33.79°, I 31
- hkl 1 0 3, 2θ = 34.77°, I 17
- hkl 4 2 0, 2θ = 35.73°, I 16
- hkl 2 1 3, 2θ = 38.52°, I 8
- hkl 0 4 0, 2θ = 40.98°, I 23
- hkl 4 3 0, 2θ = 42.62°, I 8
- hkl 4 4 1, 2θ = 52.48°, I 12

Structure:
a b c (Å): 12.243 8.809 7.917
angles (deg): 90.00 90.00 90.00
Positions (direct):
Tb  0.002  0.250  0.046
Tb  0.065  0.537  0.322
Tb  0.065  0.963  0.322
Tb  0.195  0.250  0.622
Tb  0.204  0.750  0.655
Tb  0.296  0.250  0.155
Tb  0.305  0.750  0.122
Tb  0.435  0.037  0.822
Tb  0.435  0.463  0.822
Tb  0.498  0.750  0.546
Tb  0.502  0.250  0.454
Tb  0.565  0.537  0.178
Tb  0.565  0.963  0.178
Tb  0.695  0.250  0.878
Tb  0.704  0.750  0.845
Tb  0.796  0.250  0.345
Tb  0.805  0.750  0.378
Tb  0.935  0.037  0.678
Tb  0.935  0.463  0.678
Tb  0.998  0.750  0.954
Co  0.011  0.250  0.430
Co  0.489  0.750  0.930
Co  0.511  0.250  0.070
Co  0.989  0.750  0.570
Sb  0.173  0.008  0.928
Sb  0.173  0.492  0.928
Sb  0.327  0.508  0.428
Sb  0.327  0.992  0.428
Sb  0.673  0.008  0.572
Sb  0.673  0.492  0.572
Sb  0.827  0.508  0.072
Sb  0.827  0.992  0.072